Theoretical X-ray diffraction stick pattern of Pm3ErHg5 for Cu Ka, from a structure optimized by DFT (GGA-PBE).

Cell and atoms:
```
data_Pm3ErHg5
_chemical_formula_sum 'Pm6 Er2 Hg10'
_space_group_name_H-M_alt 'P 1'
_space_group_IT_number 1
_cell_length_a 9.229
_cell_length_b 9.229
_cell_length_c 6.622
_cell_angle_alpha 90.00
_cell_angle_beta 90.00
_cell_angle_gamma 120.00
loop_
_space_group_symop_operation_xyz
'x,y,z'
loop_
_atom_site_label
_atom_site_type_symbol
_atom_site_fract_x
_atom_site_fract_y
_atom_site_fract_z
_atom_site_occupancy
Pm1 Pm 0.000 0.371 0.250 1
Pm2 Pm 0.000 0.629 0.750 1
Pm3 Pm 0.371 0.000 0.250 1
Pm4 Pm 0.371 0.371 0.750 1
Pm5 Pm 0.629 0.000 0.750 1
Pm6 Pm 0.629 0.629 0.250 1
Er1 Er 0.000 0.000 0.000 1
Er2 Er 0.000 0.000 0.500 1
Hg1 Hg 0.000 0.293 0.750 1
Hg2 Hg 0.000 0.707 0.250 1
Hg3 Hg 0.293 0.000 0.750 1
Hg4 Hg 0.293 0.293 0.250 1
Hg5 Hg 0.333 0.667 0.000 1
Hg6 Hg 0.333 0.667 0.500 1
Hg7 Hg 0.667 0.333 0.000 1
Hg8 Hg 0.667 0.333 0.500 1
Hg9 Hg 0.707 0.000 0.250 1
Hg10 Hg 0.707 0.707 0.750 1
```

Top 12 peaks for 10 to 90 degrees two-theta, by angle:
Position (°2θ)	I/Imax
32.6	25
33.3	100
33.6	89
43.0	9
48.1	31
55.5	9
59.9	26
60.2	10
63.1	9
66.5	25
66.7	9
80.4	9